1.
Simulated powder XRD pattern of AcZn3In4 for Cu Kα, 1.54184 Å, from a cell relaxed with GGA-PBE.
Peak positions follow from Bragg's law for the DFT cell and can differ from measured ones.

Largest 10 diffraction maxima, low angle first, 10 to 80 degrees two-theta:
2θ = 28.02°, intensity 52; 2θ = 28.63°, intensity 92; 2θ = 33.94°, intensity 100; 2θ = 38.04°, intensity 93; 2θ = 41.45°, intensity 32; 2θ = 46.34°, intensity 23; 2θ = 47.91°, intensity 24; 2θ = 49.96°, intensity 23; 2θ = 54.89°, intensity 31; 2θ = 66.12°, intensity 28

Structure:
abc: 4.7309 4.7309 8.6107
angles: 90.00 90.00 90.00
Space group P4/mmm (No. 123)
Unique sites:
Ac1 0.0000 0.0000 0.0000 x1
Zn1 0.0000 0.0000 0.5000 x1
Zn2 0.5000 0.5000 0.1408 x2
In1 0.0000 0.5000 0.3188 x4


2.
Simulated powder XRD pattern of Ac6ZnIn5 for Cu Kα, 1.54184 Å, from a cell relaxed with GGA-PBE.
Peak positions follow from Bragg's law for the DFT cell and can differ from measured ones.

Largest 10 diffraction maxima, low angle first, 10 to 80 degrees two-theta:
2θ = 21.74°, intensity 9; 2θ = 30.98°, intensity 100; 2θ = 38.19°, intensity 4; 2θ = 44.31°, intensity 13; 2θ = 44.53°, intensity 6; 2θ = 55.06°, intensity 26; 2θ = 55.20°, intensity 13; 2θ = 64.63°, intensity 8; 2θ = 73.23°, intensity 11; 2θ = 73.57°, intensity 6

Structure:
abc: 5.7796 17.3530 8.1387
angles: 90.00 90.00 90.00
Space group Cmmm (No. 65)
Unique sites:
Ac1 0.0000 0.0000 0.2438 x4
Ac2 0.0000 0.3361 0.2455 x8
Zn1 0.0000 0.5000 0.0000 x2
In1 0.0000 0.1659 0.0000 x4
In2 0.0000 0.1683 0.5000 x4
In3 0.0000 0.5000 0.5000 x2


3.
Simulated powder XRD pattern of AcZn3In3 for Cu Kα, 1.54184 Å, from a cell relaxed with GGA-PBE.
Peak positions follow from Bragg's law for the DFT cell and can differ from measured ones.

Largest 10 diffraction maxima, low angle first, 10 to 80 degrees two-theta:
2θ = 31.92°, intensity 100; 2θ = 32.44°, intensity 55; 2θ = 32.60°, intensity 93; 2θ = 33.29°, intensity 46; 2θ = 34.50°, intensity 60; 2θ = 35.65°, intensity 22; 2θ = 36.74°, intensity 20; 2θ = 37.08°, intensity 78; 2θ = 39.30°, intensity 20; 2θ = 63.99°, intensity 34

Structure:
abc: 7.2827 4.8489 9.7838
angles: 90.00 109.22 90.00
Space group P2_1/m (No. 11)
Unique sites:
Ac1 0.1195 0.2500 0.2752 x2
Zn1 0.1269 0.2500 0.6274 x2
Zn2 0.2324 0.7500 0.5431 x2
Zn3 0.2592 0.7500 0.0847 x2
In1 0.1770 0.2500 0.9300 x2
In2 0.4204 0.7500 0.8411 x2
In3 0.4947 0.7500 0.3822 x2


4.
Simulated powder XRD pattern of Ac6Zn5In for Cu Kα, 1.54184 Å, from a cell relaxed with GGA-PBE.
Peak positions follow from Bragg's law for the DFT cell and can differ from measured ones.

Largest 10 diffraction maxima, low angle first, 10 to 80 degrees two-theta:
2θ = 22.54°, intensity 26; 2θ = 32.09°, intensity 100; 2θ = 39.57°, intensity 8; 2θ = 45.94°, intensity 6; 2θ = 46.06°, intensity 12; 2θ = 51.81°, intensity 10; 2θ = 57.17°, intensity 26; 2θ = 57.27°, intensity 13; 2θ = 67.09°, intensity 10; 2θ = 76.39°, intensity 8

Structure:
abc: 5.5683 16.7381 7.9024
angles: 90.00 90.00 90.00
Space group Cmmm (No. 65)
Unique sites:
Ac1 0.0000 0.0000 0.2423 x4
Ac2 0.0000 0.3301 0.2466 x8
Zn1 0.0000 0.1656 0.0000 x4
Zn2 0.0000 0.1656 0.5000 x4
Zn3 0.0000 0.5000 0.0000 x2
In1 0.0000 0.5000 0.5000 x2


5.
Simulated powder XRD pattern of Ac3Zn6In5 for Cu Kα, 1.54184 Å, from a cell relaxed with GGA-PBE.
Peak positions follow from Bragg's law for the DFT cell and can differ from measured ones.

Largest 10 diffraction maxima, low angle first, 10 to 80 degrees two-theta:
2θ = 26.77°, intensity 35; 2θ = 32.00°, intensity 100; 2θ = 32.33°, intensity 27; 2θ = 34.60°, intensity 17; 2θ = 37.75°, intensity 31; 2θ = 38.70°, intensity 19; 2θ = 50.53°, intensity 16; 2θ = 55.16°, intensity 16; 2θ = 60.51°, intensity 13; 2θ = 64.57°, intensity 13

Structure:
abc: 4.7665 10.3354 13.9610
angles: 90.00 90.00 90.00
Space group Immm (No. 71)
Unique sites:
Ac1 0.0000 0.0000 0.0000 x2
Ac2 0.0000 0.0000 0.3084 x4
Zn1 0.0000 0.1971 0.5000 x4
Zn2 0.0000 0.2797 0.1407 x8
In1 0.0000 0.3565 0.3405 x8
In2 0.0000 0.5000 0.0000 x2


6.
Simulated powder XRD pattern of AcZn4In for Cu Kα, 1.54184 Å, from a cell relaxed with GGA-PBE.
Peak positions follow from Bragg's law for the DFT cell and can differ from measured ones.

Largest 10 diffraction maxima, low angle first, 10 to 80 degrees two-theta:
2θ = 26.57°, intensity 38; 2θ = 30.89°, intensity 100; 2θ = 31.21°, intensity 33; 2θ = 35.01°, intensity 40; 2θ = 40.33°, intensity 21; 2θ = 40.85°, intensity 15; 2θ = 43.92°, intensity 17; 2θ = 52.78°, intensity 20; 2θ = 55.34°, intensity 15; 2θ = 57.23°, intensity 16

Structure:
abc: 11.4618 11.4618 8.2753
angles: 90.00 90.00 90.00
Space group I4/mmm (No. 139)
Unique sites:
Ac1 0.0000 0.0000 0.2219 x4
Ac2 0.0000 0.5000 0.2500 x4
Zn1 0.1083 0.2662 0.0000 x16
Zn2 0.1859 0.1859 0.3198 x16
In1 0.0000 0.2578 0.5000 x8